1.
Computed X-ray diffraction stick pattern of AcFeCuH6 for Cu Kα (λ = 1.5418 Å), from a structure optimized by DFT (PBE).

Most intense lines, 10 to 90 degrees two-theta, sorted by position:
22.2 deg, I = 29
29.9 deg, I = 100
39.0 deg, I = 36
40.0 deg, I = 11
49.9 deg, I = 24
57.1 deg, I = 24
65.1 deg, I = 22
66.5 deg, I = 10

Structural model:
```
data_AcFeCuH6
_chemical_formula_sum 'Ac1 Fe1 Cu1 H6'
_cell_length_a 4.6195
_cell_length_b 4.6195
_cell_length_c 4.5033
_cell_angle_alpha 90.00
_cell_angle_beta 90.00
_cell_angle_gamma 120.00
_symmetry_space_group_name_H-M 'P -6 m 2'
_symmetry_Int_Tables_number 187
_symmetry_space_group_name_Hall 'P -6 2'
loop_
_atom_site_label
_atom_site_type_symbol
_atom_site_fract_x
_atom_site_fract_y
_atom_site_fract_z
Ac1 Ac 0.0000 0.0000 0.0000
Fe1 Fe 0.3333 0.6667 0.5000
Cu1 Cu 0.6667 0.3333 0.5000
H1 H 0.0257 0.5128 0.2664
```

---

2.
Computed X-ray diffraction stick pattern of KSm2YSe4 for Cu Kα (λ = 1.5418 Å), from a structure optimized by DFT (PBE).

Most intense lines, 10 to 90 degrees two-theta, sorted by position:
12.7 deg, I = 16
29.8 deg, I = 100
42.0 deg, I = 13
42.7 deg, I = 24
42.8 deg, I = 25
43.4 deg, I = 12
53.5 deg, I = 13
70.4 deg, I = 11

Structural model:
```
data_KSm2YSe4
_chemical_formula_sum 'K1 Sm2 Y1 Se4'
_cell_length_a 7.353
_cell_length_b 4.174
_cell_length_c 7.380
_cell_angle_alpha 90.00
_cell_angle_beta 108.57
_cell_angle_gamma 90.00
_symmetry_space_group_name_H-M 'P 1 2/m 1'
_symmetry_Int_Tables_number 10
loop_
_symmetry_equiv_pos_as_xyz
'x,y,z'
'-x,-y,-z'
'-x,y,-z'
'x,-y,z'
loop_
_atom_site_label
_atom_site_type_symbol
_atom_site_fract_x
_atom_site_fract_y
_atom_site_fract_z
K1 K 0.000 0.000 0.000
Sm1 Sm 0.500 0.000 0.500
Sm2 Sm 0.500 0.500 0.000
Y1 Y 0.000 0.500 0.500
Se1 Se 0.249 0.000 0.740
Se2 Se 0.261 0.500 0.267
```

---

3.
Computed X-ray diffraction stick pattern of NaH4Rh2 for Cu Kα (λ = 1.5418 Å), from a structure optimized by DFT (PBE).

Most intense lines, 10 to 90 degrees two-theta, sorted by position:
19.1 deg, I = 100
36.1 deg, I = 37
37.4 deg, I = 68
38.7 deg, I = 90
45.8 deg, I = 21
48.9 deg, I = 16
64.9 deg, I = 24
79.9 deg, I = 21

Structural model:
```
data_NaH4Rh2
_chemical_formula_sum 'Na4 H16 Rh8'
_cell_length_a 5.608
_cell_length_b 5.608
_cell_length_c 8.336
_cell_angle_alpha 90.00
_cell_angle_beta 90.00
_cell_angle_gamma 90.00
_symmetry_space_group_name_H-M 'I 41/a'
_symmetry_Int_Tables_number 88
loop_
_symmetry_equiv_pos_as_xyz
'x,y,z'
'-x,-y,-z'
'-y+3/4,x+1/4,z+1/4'
'y+3/4,-x+1/4,-z+1/4'
'-x+1/2,-y,z+1/2'
'x+1/2,y,-z+1/2'
'y+3/4,-x+3/4,z+3/4'
'-y+3/4,x+3/4,-z+3/4'
'x+1/2,y+1/2,z+1/2'
'-x+1/2,-y+1/2,-z+1/2'
'-y+1/4,x+3/4,z+3/4'
'y+1/4,-x+3/4,-z+3/4'
'-x,-y+1/2,z'
'x,y+1/2,-z'
'y+1/4,-x+1/4,z+1/4'
'-y+1/4,x+1/4,-z+1/4'
loop_
_atom_site_label
_atom_site_type_symbol
_atom_site_fract_x
_atom_site_fract_y
_atom_site_fract_z
Na1 Na 0.000 0.250 0.125
H1 H 0.167 0.477 0.329
Rh1 Rh 0.000 0.000 0.500
```

---

4.
Computed X-ray diffraction stick pattern of SrCa2Fe6As6 for Cu Kα (λ = 1.5418 Å), from a structure optimized by DFT (PBE).

Most intense lines, 10 to 90 degrees two-theta, sorted by position:
16.5 deg, I = 34
33.6 deg, I = 100
36.0 deg, I = 46
45.5 deg, I = 60
46.7 deg, I = 31
57.7 deg, I = 21
57.8 deg, I = 20
61.3 deg, I = 22

Structural model:
```
data_SrCa2Fe6As6
_chemical_formula_sum 'Sr2 Ca4 Fe12 As12'
_cell_length_a 15.597
_cell_length_b 5.644
_cell_length_c 6.058
_cell_angle_alpha 90.00
_cell_angle_beta 105.89
_cell_angle_gamma 90.00
_symmetry_space_group_name_H-M 'C 1 2/m 1'
_symmetry_Int_Tables_number 12
loop_
_symmetry_equiv_pos_as_xyz
'x,y,z'
'-x,-y,-z'
'-x,y,-z'
'x,-y,z'
'x+1/2,y+1/2,z'
'-x+1/2,-y+1/2,-z'
'-x+1/2,y+1/2,-z'
'x+1/2,-y+1/2,z'
loop_
_atom_site_label
_atom_site_type_symbol
_atom_site_fract_x
_atom_site_fract_y
_atom_site_fract_z
Sr1 Sr 0.000 0.000 0.000
Ca1 Ca 0.167 0.500 0.335
Fe1 Fe 0.000 0.251 0.500
Fe2 Fe 0.168 0.250 0.833
As1 As 0.048 0.500 0.812
As2 As 0.120 0.000 0.522
As3 As 0.214 0.000 0.147
```

---

5.
Computed X-ray diffraction stick pattern of Mg5AlAu3 for Cu Kα (λ = 1.5418 Å), from a structure optimized by DFT (PBE).

Most intense lines, 10 to 90 degrees two-theta, sorted by position:
21.8 deg, I = 27
26.7 deg, I = 100
30.9 deg, I = 21
38.1 deg, I = 35
38.2 deg, I = 56
47.3 deg, I = 22
49.9 deg, I = 33
69.0 deg, I = 22

Structural model:
```
data_Mg5AlAu3
_chemical_formula_sum 'Mg10 Al2 Au6'
_cell_length_a 8.1577
_cell_length_b 8.1577
_cell_length_c 5.7929
_cell_angle_alpha 90.00
_cell_angle_beta 90.00
_cell_angle_gamma 120.00
_symmetry_space_group_name_H-M 'P 63/m c m'
_symmetry_Int_Tables_number 193
_symmetry_space_group_name_Hall '-P 6c 2'
loop_
_atom_site_label
_atom_site_type_symbol
_atom_site_fract_x
_atom_site_fract_y
_atom_site_fract_z
Mg1 Mg 0.0000 0.3323 0.2500
Mg2 Mg 0.3333 0.6667 0.0000
Al1 Al 0.0000 0.0000 0.0000
Au1 Au 0.0000 0.3298 0.7500
```

---

6.
Computed X-ray diffraction stick pattern of Tm4TcNi for Cu Kα (λ = 1.5418 Å), from a structure optimized by DFT (PBE).

Most intense lines, 10 to 90 degrees two-theta, sorted by position:
31.5 deg, I = 100
32.1 deg, I = 65
32.8 deg, I = 46
35.3 deg, I = 30
35.6 deg, I = 81
37.7 deg, I = 30
42.0 deg, I = 46
42.3 deg, I = 24

Structural model:
```
data_Tm4TcNi
_chemical_formula_sum 'Tm16 Tc4 Ni4'
_cell_length_a 7.317
_cell_length_b 4.305
_cell_length_c 17.647
_cell_angle_alpha 90.00
_cell_angle_beta 90.00
_cell_angle_gamma 90.00
_symmetry_space_group_name_H-M 'P n m a'
_symmetry_Int_Tables_number 62
loop_
_symmetry_equiv_pos_as_xyz
'x,y,z'
'-x,-y,-z'
'-x+1/2,-y,z+1/2'
'x+1/2,y,-z+1/2'
'x+1/2,-y+1/2,-z+1/2'
'-x+1/2,y+1/2,z+1/2'
'-x,y+1/2,-z'
'x,-y+1/2,z'
loop_
_atom_site_label
_atom_site_type_symbol
_atom_site_fract_x
_atom_site_fract_y
_atom_site_fract_z
Tm1 Tm 0.010 0.250 0.076
Tm2 Tm 0.077 0.250 0.779
Tm3 Tm 0.091 0.250 0.351
Tm4 Tm 0.151 0.250 0.545
Tc1 Tc 0.249 0.750 0.438
Ni1 Ni 0.225 0.250 0.205
```

---

Please write out number 1 again, unchanged.
Computed X-ray diffraction stick pattern of AcFeCuH6 for Cu Kα (λ = 1.5418 Å), from a structure optimized by DFT (PBE).

Most intense lines, 10 to 90 degrees two-theta, sorted by position:
22.2 deg, I = 29
29.9 deg, I = 100
39.0 deg, I = 36
40.0 deg, I = 11
49.9 deg, I = 24
57.1 deg, I = 24
65.1 deg, I = 22
66.5 deg, I = 10

Structural model:
```
data_AcFeCuH6
_chemical_formula_sum 'Ac1 Fe1 Cu1 H6'
_cell_length_a 4.6195
_cell_length_b 4.6195
_cell_length_c 4.5033
_cell_angle_alpha 90.00
_cell_angle_beta 90.00
_cell_angle_gamma 120.00
_symmetry_space_group_name_H-M 'P -6 m 2'
_symmetry_Int_Tables_number 187
_symmetry_space_group_name_Hall 'P -6 2'
loop_
_atom_site_label
_atom_site_type_symbol
_atom_site_fract_x
_atom_site_fract_y
_atom_site_fract_z
Ac1 Ac 0.0000 0.0000 0.0000
Fe1 Fe 0.3333 0.6667 0.5000
Cu1 Cu 0.6667 0.3333 0.5000
H1 H 0.0257 0.5128 0.2664
```